1.
Computed X-ray powder pattern
Compound: RbScMnO3
Radiation: copper Kα
Structure: a crystal structure in Alexandria, relaxed with GGA+U

Principal peaks in the range 10° ≤ 2θ ≤ 80°, in order of falling intensity:
Position (°2θ)  I (rel.)
27.1  100
34.3  95
32.7  74
41.1  45
12.5  45
20.2  37
23.8  36
53.5  32
39.9  27
62.1  25
29.2  20
42.9  19

Cell and atoms:
```
data_RbScMnO3
_cell_length_a 7.3014
_cell_length_b 7.3014
_cell_length_c 8.7870
_cell_angle_alpha 90.00
_cell_angle_beta 90.00
_cell_angle_gamma 153.42
_symmetry_space_group_name_H-M 'P 1'
_symmetry_Int_Tables_number 1
loop_
_symmetry_equiv_pos_as_xyz
'x,y,z'
loop_
_atom_site_label
_atom_site_type_symbol
_atom_site_fract_x
_atom_site_fract_y
_atom_site_fract_z
Rb1 Rb 0.1843 0.8157 0.7500
Rb2 Rb 0.8157 0.1843 0.2500
Sc1 Sc 0.5000 0.5000 0.0000
Sc2 Sc 0.5000 0.5000 0.5000
Mn1 Mn 0.0813 0.9187 0.2500
Mn2 Mn 0.9187 0.0813 0.7500
O1 O 0.0957 0.9043 0.0274
O2 O 0.0957 0.9043 0.4726
O3 O 0.4866 0.5134 0.2500
O4 O 0.5134 0.4866 0.7500
O5 O 0.9043 0.0957 0.5274
O6 O 0.9043 0.0957 0.9726
```



2.
Computed X-ray powder pattern
Compound: RbMnWO6
Radiation: copper Kα
Structure: a crystal structure in Alexandria, relaxed with GGA+U

Principal peaks in the range 10° ≤ 2θ ≤ 80°, in order of falling intensity:
Position (°2θ)  I (rel.)
24.2  100
13.8  43
44.9  32
34.5  27
56.0  19
19.7  19
42.6  17
27.9  14
47.2  14
37.4  12
61.9  10
45.0  9

Cell and atoms:
```
data_RbMnWO6
_cell_length_a 5.1935
_cell_length_b 5.1935
_cell_length_c 6.3989
_cell_angle_alpha 90.08
_cell_angle_beta 90.08
_cell_angle_gamma 120.04
_symmetry_space_group_name_H-M 'P 1'
_symmetry_Int_Tables_number 1
loop_
_symmetry_equiv_pos_as_xyz
'x,y,z'
loop_
_atom_site_label
_atom_site_type_symbol
_atom_site_fract_x
_atom_site_fract_y
_atom_site_fract_z
Rb1 Rb 0.0000 0.0000 0.0000
Mn1 Mn 0.6666 0.3334 0.5000
W1 W 0.3334 0.6666 0.5000
O1 O 0.3981 0.0034 0.3277
O2 O 0.3995 0.3955 0.6724
O3 O 0.6045 0.6005 0.3276
O4 O 0.6060 0.0049 0.6722
O5 O 0.9951 0.3940 0.3278
O6 O 0.9966 0.6019 0.6723
```



3.
Computed X-ray powder pattern
Compound: RbYMnWO6
Radiation: copper Kα
Structure: a crystal structure in Alexandria, relaxed with GGA+U

Principal peaks in the range 10° ≤ 2θ ≤ 80°, in order of falling intensity:
Position (°2θ)  I (rel.)
29.8  100
28.8  88
31.8  50
18.2  46
46.5  37
33.0  35
36.9  27
18.3  27
57.6  24
49.5  21
55.5  17
19.1  16

Cell and atoms:
```
data_RbYMnWO6
_cell_length_a 5.4326
_cell_length_b 5.6246
_cell_length_c 9.7505
_cell_angle_alpha 90.00
_cell_angle_beta 92.76
_cell_angle_gamma 90.00
_symmetry_space_group_name_H-M 'P 1'
_symmetry_Int_Tables_number 1
loop_
_symmetry_equiv_pos_as_xyz
'x,y,z'
loop_
_atom_site_label
_atom_site_type_symbol
_atom_site_fract_x
_atom_site_fract_y
_atom_site_fract_z
Rb1 Rb 0.2343 0.0000 0.0103
Rb2 Rb 0.7657 0.5000 0.9897
Y1 Y 0.2705 0.9512 0.5018
Y2 Y 0.7295 0.4512 0.4982
Mn1 Mn 0.2543 0.5014 0.6957
Mn2 Mn 0.7457 0.0014 0.3043
W1 W 0.2190 0.5117 0.2791
W2 W 0.7810 0.0117 0.7209
O1 O 0.0582 0.8139 0.2582
O2 O 0.0767 0.8338 0.7329
O3 O 0.1288 0.5596 0.4896
O4 O 0.2988 0.4859 0.0991
O5 O 0.4267 0.2392 0.3525
O6 O 0.4849 0.2124 0.6496
O7 O 0.5151 0.7124 0.3504
O8 O 0.5733 0.7392 0.6475
O9 O 0.7012 0.9859 0.9009
O10 O 0.8712 0.0596 0.5104
O11 O 0.9233 0.3338 0.2671
O12 O 0.9418 0.3139 0.7418
```



Copy entry 1 word for word.
Computed X-ray powder pattern
Compound: RbScMnO3
Radiation: copper Kα
Structure: a crystal structure in Alexandria, relaxed with GGA+U

Principal peaks in the range 10° ≤ 2θ ≤ 80°, in order of falling intensity:
Position (°2θ)  I (rel.)
27.1  100
34.3  95
32.7  74
41.1  45
12.5  45
20.2  37
23.8  36
53.5  32
39.9  27
62.1  25
29.2  20
42.9  19

Cell and atoms:
```
data_RbScMnO3
_cell_length_a 7.3014
_cell_length_b 7.3014
_cell_length_c 8.7870
_cell_angle_alpha 90.00
_cell_angle_beta 90.00
_cell_angle_gamma 153.42
_symmetry_space_group_name_H-M 'P 1'
_symmetry_Int_Tables_number 1
loop_
_symmetry_equiv_pos_as_xyz
'x,y,z'
loop_
_atom_site_label
_atom_site_type_symbol
_atom_site_fract_x
_atom_site_fract_y
_atom_site_fract_z
Rb1 Rb 0.1843 0.8157 0.7500
Rb2 Rb 0.8157 0.1843 0.2500
Sc1 Sc 0.5000 0.5000 0.0000
Sc2 Sc 0.5000 0.5000 0.5000
Mn1 Mn 0.0813 0.9187 0.2500
Mn2 Mn 0.9187 0.0813 0.7500
O1 O 0.0957 0.9043 0.0274
O2 O 0.0957 0.9043 0.4726
O3 O 0.4866 0.5134 0.2500
O4 O 0.5134 0.4866 0.7500
O5 O 0.9043 0.0957 0.5274
O6 O 0.9043 0.0957 0.9726
```